CdTcS2: computed PXRD pattern (Cu Kα (λ = 1.5418 Å)), based on a cell relaxed with GGA-PBE.
Kinematic intensities with the Lorentz-polarization factor, no thermal factor.

Cell and atoms:
Lattice parameters (Å, degrees): 6.681 6.681 6.681 128.65 128.65 75.57
Fractional positions:
Cd1 0.000 0.000 0.000
Cd2 0.750 0.250 0.500
Tc1 0.250 0.750 0.500
Tc2 0.500 0.500 0.000
S1 0.174 0.625 0.049
S2 0.375 0.424 0.549
S3 0.576 0.125 0.951
S4 0.875 0.826 0.451

Main lines, by angle (10° ≤ 2θ ≤ 90°):
27.57 deg, I = 100; 30.89 deg, I = 17; 44.25 deg, I = 19; 46.56 deg, I = 34; 52.94 deg, I = 30; 56.94 deg, I = 19; 71.42 deg, I = 8; 74.83 deg, I = 14; 83.10 deg, I = 10; 88.01 deg, I = 12

Cd3Te2S: computed PXRD pattern (Cu Kα (λ = 1.5418 Å)), based on a cell relaxed with GGA-PBE.
Kinematic intensities with the Lorentz-polarization factor, no thermal factor.

Cell and atoms:
Lattice parameters (Å, degrees): 4.513 4.513 11.080 90.00 90.00 120.00
Fractional positions:
Cd1 0.000 0.000 0.000
Cd2 0.333 0.667 0.645
Cd3 0.667 0.333 0.292
Te1 0.000 0.000 0.742
Te2 0.333 0.667 0.389
S1 0.667 0.333 0.060

Main lines, by angle (10° ≤ 2θ ≤ 90°):
24.13 deg, I = 100; 33.38 deg, I = 9; 39.92 deg, I = 78; 47.19 deg, I = 44; 57.73 deg, I = 13; 63.43 deg, I = 10; 63.53 deg, I = 10; 72.53 deg, I = 19; 77.70 deg, I = 9; 86.19 deg, I = 4